Starting from the GGA-PBE geometry in Alexandria, the X-ray diffraction stick pattern of Y4AsAuSe2 was computed for Cu Kα (weighted mean of Kα1 and Kα2).
Intensities are scaled so that the largest is 100.

Cell and atoms:
Cell lengths 7.1560, 4.0732, 7.2213 Å; angles 90.00, 108.65, 90.00 degrees
Space group P2/m (No. 10)
Inequivalent atoms, fractional coordinates:
Y 0.2429 0.0000 0.2438 (multiplicity 2)
Y 0.2471 0.5000 0.7509 (multiplicity 2)
As 0.0000 0.5000 0.0000 (multiplicity 1)
Au 0.5000 0.0000 0.0000 (multiplicity 1)
Se 0.0000 0.0000 0.5000 (multiplicity 1)
Se 0.5000 0.5000 0.5000 (multiplicity 1)

Top 10 peaks for 2θ = 5–70°, most intense first:
| index | Position (°2θ) | intensity |
| --- | --- | --- |
| 1 1 1 | 30.61 | 100 |
| 1 1 -3 | 43.69 | 25 |
| 3 1 -1 | 43.99 | 24 |
| 2 0 2 | 43.16 | 13 |
| 2 2 -2 | 54.97 | 12 |
| 4 0 -4 | 63.73 | 12 |
| 0 2 0 | 44.49 | 12 |
| 0 0 4 | 53.58 | 7 |
| 4 0 0 | 54.11 | 6 |
| 0 0 1 | 12.94 | 5 |

Starting from the GGA-PBE geometry in Alexandria, the X-ray diffraction stick pattern of CaNdTmMg was computed for Cu Kα (weighted mean of Kα1 and Kα2).
Intensities are scaled so that the largest is 100.

Cell and atoms:
Cell lengths 3.6326, 3.6326, 9.7174 Å; angles 90.00, 90.00, 90.00 degrees
Space group P4mm (No. 99)
Inequivalent atoms, fractional coordinates:
Ca 0.0000 0.0000 0.0000 (multiplicity 1)
Nd 0.5000 0.5000 0.7013 (multiplicity 1)
Tm 0.0000 0.0000 0.4534 (multiplicity 1)
Mg 0.5000 0.5000 0.2392 (multiplicity 1)

Top 10 peaks for 2θ = 5–70°, most intense first:
| index | Position (°2θ) | intensity |
| --- | --- | --- |
| 1 0 2 | 30.73 | 100 |
| 0 0 1 | 9.10 | 81 |
| 1 1 0 | 34.93 | 37 |
| 1 0 1 | 26.19 | 34 |
| 2 1 2 | 60.05 | 29 |
| 1 1 4 | 51.80 | 20 |
| 1 0 3 | 37.19 | 15 |
| 1 1 1 | 36.17 | 14 |
| 0 0 4 | 37.00 | 13 |
| 2 0 0 | 50.23 | 13 |

Starting from the GGA-PBE geometry in Alexandria, the X-ray diffraction stick pattern of Sm12Ho5Sc was computed for Cu Kα (weighted mean of Kα1 and Kα2).
Intensities are scaled so that the largest is 100.

Cell and atoms:
Cell lengths 10.7274, 5.0716, 10.7404 Å; angles 90.00, 90.17, 90.00 degrees
Space group P2/m (No. 10)
Inequivalent atoms, fractional coordinates:
Sm 0.0011 0.0000 0.1671 (multiplicity 2)
Sm 0.1662 0.5000 0.6662 (multiplicity 2)
Sm 0.1707 0.5000 0.0014 (multiplicity 2)
Sm 0.3328 0.0000 0.4989 (multiplicity 2)
Sm 0.3372 0.0000 0.8372 (multiplicity 2)
Sm 0.4986 0.5000 0.3294 (multiplicity 2)
Ho 0.0000 0.0000 0.5000 (multiplicity 1)
Ho 0.1666 0.5000 0.3335 (multiplicity 2)
Ho 0.3351 0.0000 0.1649 (multiplicity 2)
Sc 0.5000 0.5000 0.0000 (multiplicity 1)

Top 10 peaks for 2θ = 5–70°, most intense first:
| index | Position (°2θ) | intensity |
| --- | --- | --- |
| 3 1 0 | 30.58 | 100 |
| 0 2 0 | 35.41 | 34 |
| 3 2 -3 | 51.00 | 30 |
| 3 3 0 | 60.60 | 29 |
| 3 0 3 | 35.54 | 17 |
| 6 1 3 | 60.76 | 14 |
| 6 2 0 | 63.66 | 12 |
| 6 0 0 | 51.09 | 6 |
| 1 0 0 | 8.24 | 1 |
| 1 0 2 | 18.48 | 1 |

Starting from the GGA-PBE geometry in Alexandria, the X-ray diffraction stick pattern of In4Hg3Bi4 was computed for Cu Kα (weighted mean of Kα1 and Kα2).
Intensities are scaled so that the largest is 100.

Cell and atoms:
Cell lengths 3.3781, 5.0420, 20.2850 Å; angles 94.17, 91.77, 108.07 degrees
Space group P-1 (No. 2)
Inequivalent atoms, fractional coordinates:
In 0.0389 0.1225 0.3510 (multiplicity 2)
In 0.2418 0.5130 0.0828 (multiplicity 2)
Hg 0.2730 0.4636 0.7270 (multiplicity 2)
Hg 0.5000 0.0000 0.0000 (multiplicity 1)
Bi 0.0156 0.0095 0.1752 (multiplicity 2)
Bi 0.3892 0.7304 0.4478 (multiplicity 2)

Top 10 peaks for 2θ = 5–70°, most intense first:
| index | Position (°2θ) | intensity |
| --- | --- | --- |
| 0 1 5 | 30.19 | 100 |
| 0 1 -6 | 31.15 | 99 |
| 1 -1 2 | 29.65 | 74 |
| -1 1 3 | 31.28 | 53 |
| 0 2 -1 | 37.56 | 43 |
| 1 0 3 | 31.57 | 34 |
| 1 -2 3 | 41.09 | 25 |
| 0 0 11 | 49.65 | 25 |
| 1 0 -4 | 32.22 | 24 |
| 2 -1 0 | 54.36 | 23 |

Starting from the GGA-PBE geometry in Alexandria, the X-ray diffraction stick pattern of CrRh was computed for Cu Kα (weighted mean of Kα1 and Kα2).
Intensities are scaled so that the largest is 100.

Cell and atoms:
Cell lengths 9.6397, 2.6528, 6.2765 Å; angles 90.00, 104.53, 90.00 degrees
Space group Cm (No. 8)
Inequivalent atoms, fractional coordinates:
Cr 0.0000 0.0000 0.0000 (multiplicity 2)
Cr 0.0641 0.0000 0.6009 (multiplicity 2)
Cr 0.1732 0.5000 0.3274 (multiplicity 2)
Rh 0.2133 0.5000 0.9361 (multiplicity 2)
Rh 0.3442 0.0000 0.6656 (multiplicity 2)
Rh 0.3991 0.0000 0.2736 (multiplicity 2)

Top 10 peaks for 2θ = 5–70°, most intense first:
| index | Position (°2θ) | intensity |
| --- | --- | --- |
| 1 1 -2 | 44.78 | 100 |
| 3 1 0 | 44.93 | 99 |
| 2 0 2 | 39.23 | 51 |
| 4 0 -2 | 42.53 | 50 |
| 2 0 -4 | 59.10 | 15 |
| 2 0 0 | 19.02 | 12 |
| 2 0 1 | 26.85 | 10 |
| 5 1 -1 | 59.32 | 7 |
| 2 0 -2 | 30.83 | 7 |
| 1 1 0 | 35.17 | 7 |

Starting from the GGA-PBE geometry in Alexandria, the X-ray diffraction stick pattern of Li2SnS3 was computed for Cu Kα (weighted mean of Kα1 and Kα2).
Intensities are scaled so that the largest is 100.

Cell and atoms:
Cell lengths 6.9301, 12.1127, 6.8279 Å; angles 90.00, 107.88, 90.00 degrees
Space group Cc (No. 9)
Inequivalent atoms, fractional coordinates:
Li 0.0000 0.0868 0.0000 (multiplicity 4)
Li 0.0194 0.2456 0.4999 (multiplicity 4)
Sn 0.0324 0.4110 0.0229 (multiplicity 4)
S 0.3862 0.2460 0.6293 (multiplicity 4)
S 0.3915 0.0808 0.1382 (multiplicity 4)
S 0.3914 0.4177 0.1247 (multiplicity 4)

Top 10 peaks for 2θ = 5–70°, most intense first:
| index | Position (°2θ) | intensity |
| --- | --- | --- |
| 1 1 0 | 15.30 | 100 |
| 1 3 -1 | 27.30 | 74 |
| 0 2 1 | 20.04 | 65 |
| 0 0 2 | 27.45 | 43 |
| 3 3 -1 | 45.24 | 34 |
| 1 3 -3 | 45.77 | 33 |
| 2 0 0 | 27.04 | 31 |
| 1 1 -1 | 17.55 | 28 |
| 0 6 0 | 44.93 | 24 |
| 2 2 -1 | 30.21 | 23 |

Starting from the GGA-PBE geometry in Alexandria, the X-ray diffraction stick pattern of ReSiP2Cl was computed for Cu Kα (weighted mean of Kα1 and Kα2).
Intensities are scaled so that the largest is 100.

Cell and atoms:
Cell lengths 4.5590, 4.5590, 5.1436 Å; angles 90.00, 90.00, 90.00 degrees
Space group P4/mmm (No. 123)
Inequivalent atoms, fractional coordinates:
Re 0.0000 0.0000 0.0000 (multiplicity 1)
Si 0.5000 0.5000 0.5000 (multiplicity 1)
P 0.0000 0.5000 0.0000 (multiplicity 2)
Cl 0.0000 0.0000 0.5000 (multiplicity 1)

Top 10 peaks for 2θ = 5–70°, most intense first:
| index | Position (°2θ) | intensity |
| --- | --- | --- |
| 1 0 0 | 19.47 | 100 |
| 1 0 1 | 26.12 | 83 |
| 0 0 1 | 17.24 | 59 |
| 2 0 0 | 39.53 | 43 |
| 1 1 0 | 27.67 | 41 |
| 2 0 2 | 53.73 | 34 |
| 2 1 1 | 48.00 | 34 |
| 1 0 2 | 40.26 | 31 |
| 0 0 2 | 34.89 | 31 |
| 2 1 0 | 44.43 | 24 |

Starting from the GGA-PBE geometry in Alexandria, the X-ray diffraction stick pattern of MgFe2Cu was computed for Cu Kα (weighted mean of Kα1 and Kα2).
Intensities are scaled so that the largest is 100.

Cell and atoms:
Cell lengths 8.8073, 2.8281, 4.5322 Å; angles 90.00, 107.68, 90.00 degrees
Space group Cm (No. 8)
Inequivalent atoms, fractional coordinates:
Mg 0.0000 0.0000 0.0000 (multiplicity 2)
Fe 0.2706 0.5000 0.3083 (multiplicity 2)
Fe 0.4974 0.0000 0.4930 (multiplicity 2)
Cu 0.2398 0.0000 0.7665 (multiplicity 2)

Top 10 peaks for 2θ = 5–70°, most intense first:
| index | Position (°2θ) | intensity |
| --- | --- | --- |
| 1 1 1 | 41.34 | 100 |
| 3 1 -1 | 45.93 | 75 |
| 2 0 -2 | 40.78 | 52 |
| 4 0 0 | 43.12 | 42 |
| 2 0 2 | 53.29 | 19 |
| 0 0 1 | 20.57 | 18 |
| 0 2 0 | 66.08 | 12 |
| 2 0 0 | 21.18 | 12 |
| 6 0 -2 | 67.89 | 10 |
| 2 0 -1 | 24.69 | 9 |

What did the first record say?
Starting from the GGA-PBE geometry in Alexandria, the X-ray diffraction stick pattern of Y4AsAuSe2 was computed for Cu Kα (weighted mean of Kα1 and Kα2).
Intensities are scaled so that the largest is 100.

Cell and atoms:
Cell lengths 7.1560, 4.0732, 7.2213 Å; angles 90.00, 108.65, 90.00 degrees
Space group P2/m (No. 10)
Inequivalent atoms, fractional coordinates:
Y 0.2429 0.0000 0.2438 (multiplicity 2)
Y 0.2471 0.5000 0.7509 (multiplicity 2)
As 0.0000 0.5000 0.0000 (multiplicity 1)
Au 0.5000 0.0000 0.0000 (multiplicity 1)
Se 0.0000 0.0000 0.5000 (multiplicity 1)
Se 0.5000 0.5000 0.5000 (multiplicity 1)

Top 10 peaks for 2θ = 5–70°, most intense first:
| index | Position (°2θ) | intensity |
| --- | --- | --- |
| 1 1 1 | 30.61 | 100 |
| 1 1 -3 | 43.69 | 25 |
| 3 1 -1 | 43.99 | 24 |
| 2 0 2 | 43.16 | 13 |
| 2 2 -2 | 54.97 | 12 |
| 4 0 -4 | 63.73 | 12 |
| 0 2 0 | 44.49 | 12 |
| 0 0 4 | 53.58 | 7 |
| 4 0 0 | 54.11 | 6 |
| 0 0 1 | 12.94 | 5 |